Computed powder diffractogram of Sr4LiMn2Ga2O10 for copper Kα, from the PBE+U geometry in Alexandria.
Neutral-atom scattering factors, no anomalous dispersion.

The 6 most intense peaks (10° ≤ 2θ ≤ 80°), by angle:
| h k l | Position (°2θ) | I (rel.) |
| --- | --- | --- |
| 0 2 1 | 30.14 | 86 |
| 1 1 -1 | 30.35 | 94 |
| 1 -1 2 | 30.71 | 68 |
| 1 1 3 | 31.18 | 89 |
| 2 0 1 | 31.52 | 100 |
| 0 0 4 | 44.07 | 94 |

```
19
Lattice="5.677 0.000 0.000 0.020 5.933 0.000 2.739 2.771 8.226" Properties=species:S:1:pos:R:3 pbc="T T T"
Sr 0.000 0.000 0.000
Sr 2.305 3.496 4.552
Sr 5.015 6.061 8.180
Sr 5.470 6.751 4.491
Li 7.733 5.114 7.617
Mn 2.522 6.532 5.857
Mn 5.269 3.467 6.324
Ga 2.953 6.086 2.191
Ga 4.813 3.972 2.354
O 2.360 6.751 3.824
O 3.604 4.700 6.464
O 4.089 7.778 6.358
O 2.878 4.143 2.225
O 2.393 0.813 0.570
O 5.343 3.300 3.961
O 4.876 5.922 2.296
O 6.470 5.089 6.254
O 6.821 2.194 6.322
O 5.469 3.502 0.687
```